This entry pairs a crystal structure of VReO4 with its calculated powder XRD pattern. Radiation: Cu Ka. Structure: a PBE+U-relaxed structure.

Principal peaks in the range 10 to 90 degrees two-theta, sorted by position:
2θ (°)	d [Å]	I (rel.)	hkl
18.5	4.804	100	0 2 1
25.8	3.457	76	0 0 2
26.7	3.340	68	0 4 0
36.7	2.450	89	2 2 1
37.4	2.402	31	0 4 2
41.1	2.198	25	2 0 2
42.7	2.119	19	0 6 1
52.9	1.730	54	0 0 4
53.9	1.700	37	2 6 1
67.1	1.396	23	2 6 3

Atomic structure:
```
data_VReO4
_cell_length_a 5.695
_cell_length_b 13.360
_cell_length_c 6.914
_cell_angle_alpha 90.00
_cell_angle_beta 90.00
_cell_angle_gamma 90.00
_space_group_name_H-M_alt 'C m c m'
_space_group_IT_number 63
_space_group_name_Hall '-C 2c 2'
loop_
_atom_site_label
_atom_site_fract_x
_atom_site_fract_y
_atom_site_fract_z
V1 0.000 0.121 0.250
V2 0.000 0.371 0.750
Re1 0.223 0.375 0.250
O1 0.000 0.125 0.560
O2 0.000 0.374 0.029
O3 0.240 0.231 0.250
O4 0.243 0.481 0.750
```